(1)
# ZnSn2P2O10
Computed powder diffraction line list, Cu Kα X-rays. Input: DFT lattice parameters and positions (PBE).
Intensities are scaled so that the largest is 100.

Principal peaks in the range 10 to 80 degrees two-theta, by intensity:
- 2θ = 29.94°, rel. 100
- 2θ = 30.37°, rel. 96
- 2θ = 26.64°, rel. 78
- 2θ = 21.15°, rel. 66
- 2θ = 43.07°, rel. 43
- 2θ = 30.59°, rel. 39
- 2θ = 15.05°, rel. 37
- 2θ = 53.51°, rel. 28
- 2θ = 51.31°, rel. 26
- 2θ = 37.79°, rel. 25

Structure:
a = 9.2711 Å, b = 6.8636 Å, c = 10.2484 Å
α = 61.94°, β = 40.79°, γ = 77.28°
Fractional coordinates of all 30 atoms:
Zn1 0.0000 0.0000 0.0000
Zn2 0.2500 0.2500 0.2500
Sn1 0.1429 0.6306 0.6129
Sn2 0.6306 0.1429 0.6136
Sn3 0.6364 0.6371 0.6194
Sn4 0.6371 0.6364 0.1071
P1 0.0563 0.4694 0.0324
P2 0.2176 0.8081 0.1937
P3 0.4694 0.0563 0.4419
P4 0.8081 0.2176 0.7806
O1 0.0142 0.3302 0.6887
O2 0.0771 0.3818 0.9023
O3 0.2030 0.8966 0.3198
O4 0.2629 0.9326 0.5414
O5 0.2831 0.5613 0.9198
O6 0.3302 0.0142 0.9669
O7 0.3477 0.6112 0.1729
O8 0.3818 0.0771 0.6388
O9 0.4441 0.5844 0.4065
O10 0.5613 0.2831 0.2358
O11 0.5844 0.4441 0.5650
O12 0.6112 0.3477 0.8682
O13 0.6694 0.9302 0.3534
O14 0.6850 0.8435 0.6656
O15 0.7086 0.9869 0.9871
O16 0.8435 0.6850 0.8059
O17 0.8966 0.2030 0.5806
O18 0.9302 0.6694 0.0470
O19 0.9326 0.2629 0.2631
O20 0.9869 0.7086 0.3174

(2)
# ZnSn2P2O9
Computed powder diffraction line list, Cu Kα X-rays. Input: DFT lattice parameters and positions (PBE).
Intensities are scaled so that the largest is 100.

Principal peaks in the range 10 to 80 degrees two-theta, by intensity:
- 2θ = 17.55°, rel. 100
- 2θ = 29.53°, rel. 95
- 2θ = 21.76°, rel. 71
- 2θ = 30.33°, rel. 70
- 2θ = 15.37°, rel. 70
- 2θ = 22.44°, rel. 44
- 2θ = 37.23°, rel. 39
- 2θ = 34.18°, rel. 37
- 2θ = 46.79°, rel. 36
- 2θ = 43.60°, rel. 32

Structure:
a = 16.2793 Å, b = 6.4421 Å, c = 8.1694 Å
α = 90.00°, β = 90.00°, γ = 90.00°
Fractional coordinates of all 56 atoms:
Zn1 0.1879 0.2500 0.0133
Zn2 0.3121 0.7500 0.5133
Zn3 0.6879 0.2500 0.4867
Zn4 0.8121 0.7500 0.9867
Sn1 0.0000 0.0000 0.0000
Sn2 0.0000 0.5000 0.0000
Sn3 0.1146 0.2500 0.3791
Sn4 0.3854 0.7500 0.8791
Sn5 0.5000 0.0000 0.5000
Sn6 0.5000 0.5000 0.5000
Sn7 0.6146 0.2500 0.1209
Sn8 0.8854 0.7500 0.6209
P1 0.0636 0.7500 0.3877
P2 0.2103 0.7500 0.9007
P3 0.2897 0.2500 0.4007
P4 0.4364 0.2500 0.8877
P5 0.5636 0.7500 0.1123
P6 0.7103 0.7500 0.5993
P7 0.7897 0.2500 0.0993
P8 0.9364 0.2500 0.6123
O1 0.0025 0.7500 0.5331
O2 0.0165 0.7500 0.2228
O3 0.0805 0.2500 0.1423
O4 0.1230 0.5639 0.4032
O5 0.1230 0.9361 0.4032
O6 0.1579 0.5489 0.9245
O7 0.1579 0.9511 0.9245
O8 0.2167 0.2500 0.5278
O9 0.2440 0.2500 0.2318
O10 0.2560 0.7500 0.7318
O11 0.2833 0.7500 0.0278
O12 0.3421 0.0489 0.4245
O13 0.3421 0.4511 0.4245
O14 0.3770 0.0639 0.9032
O15 0.3770 0.4361 0.9032
O16 0.4195 0.7500 0.6423
O17 0.4835 0.2500 0.7228
O18 0.4975 0.2500 0.0331
O19 0.5025 0.7500 0.9669
O20 0.5165 0.7500 0.2772
O21 0.5805 0.2500 0.3577
O22 0.6230 0.5639 0.0968
O23 0.6230 0.9361 0.0968
O24 0.6579 0.5489 0.5755
O25 0.6579 0.9511 0.5755
O26 0.7167 0.2500 0.9722
O27 0.7440 0.2500 0.2682
O28 0.7560 0.7500 0.7682
O29 0.7833 0.7500 0.4722
O30 0.8421 0.0489 0.0755
O31 0.8421 0.4511 0.0755
O32 0.8770 0.0639 0.5968
O33 0.8770 0.4361 0.5968
O34 0.9195 0.7500 0.8577
O35 0.9835 0.2500 0.7772
O36 0.9975 0.2500 0.4669

(3)
# ZnSn3P4O14
Computed powder diffraction line list, Cu Kα X-rays. Input: DFT lattice parameters and positions (PBE).
Intensities are scaled so that the largest is 100.

Principal peaks in the range 10 to 80 degrees two-theta, by intensity:
- 2θ = 18.19°, rel. 100
- 2θ = 28.45°, rel. 96
- 2θ = 26.93°, rel. 84
- 2θ = 33.80°, rel. 82
- 2θ = 24.68°, rel. 68
- 2θ = 34.83°, rel. 58
- 2θ = 33.07°, rel. 57
- 2θ = 31.32°, rel. 56
- 2θ = 25.99°, rel. 55
- 2θ = 27.65°, rel. 49

Structure:
a = 8.1351 Å, b = 8.2669 Å, c = 10.0403 Å
α = 90.00°, β = 103.77°, γ = 90.00°
Fractional coordinates of all 44 atoms:
Zn1 0.0000 0.0000 0.0000
Zn2 0.0000 0.5000 0.5000
Sn1 0.3031 0.1374 0.4828
Sn2 0.3031 0.3626 0.9828
Sn3 0.5000 0.0000 0.0000
Sn4 0.5000 0.5000 0.5000
Sn5 0.6969 0.6374 0.0172
Sn6 0.6969 0.8626 0.5172
P1 0.0607 0.0381 0.7059
P2 0.0607 0.4619 0.2059
P3 0.3193 0.7031 0.1741
P4 0.3193 0.7969 0.6741
P5 0.6807 0.2031 0.3259
P6 0.6807 0.2969 0.8259
P7 0.9393 0.5381 0.7941
P8 0.9393 0.9619 0.2941
O1 0.1096 0.0570 0.8646
O2 0.1096 0.4430 0.3646
O3 0.1293 0.6359 0.1711
O4 0.1293 0.8641 0.6711
O5 0.1296 0.5301 0.8514
O6 0.1296 0.9699 0.3514
O7 0.1515 0.1692 0.6425
O8 0.1515 0.3308 0.1425
O9 0.2824 0.6343 0.5998
O10 0.2824 0.8657 0.0998
O11 0.4004 0.5780 0.0916
O12 0.4004 0.9220 0.5916
O13 0.4218 0.7074 0.3215
O14 0.4218 0.7926 0.8215
O15 0.5782 0.2074 0.1785
O16 0.5782 0.2926 0.6785
O17 0.5996 0.0780 0.4084
O18 0.5996 0.4220 0.9084
O19 0.7176 0.1343 0.9002
O20 0.7176 0.3657 0.4002
O21 0.8485 0.6692 0.8575
O22 0.8485 0.8308 0.3575
O23 0.8704 0.0301 0.6486
O24 0.8704 0.4699 0.1486
O25 0.8707 0.1359 0.3289
O26 0.8707 0.3641 0.8289
O27 0.8904 0.5570 0.6354
O28 0.8904 0.9430 0.1354

(4)
# Sr4P2O
Computed powder diffraction line list, Cu Kα X-rays. Input: DFT lattice parameters and positions (PBE).
Intensities are scaled so that the largest is 100.

Principal peaks in the range 10 to 80 degrees two-theta, by intensity:
- 2θ = 28.38°, rel. 100
- 2θ = 37.19°, rel. 60
- 2θ = 34.47°, rel. 59
- 2θ = 33.51°, rel. 58
- 2θ = 50.92°, rel. 52
- 2θ = 61.77°, rel. 22
- 2θ = 64.72°, rel. 21
- 2θ = 53.61°, rel. 20
- 2θ = 11.03°, rel. 20
- 2θ = 24.82°, rel. 20

Structure:
a = 8.7219 Å, b = 8.7219 Å, c = 8.7219 Å
α = 147.82°, β = 147.82°, γ = 46.16°
Fractional coordinates of all 7 atoms:
Sr1 0.0000 0.5000 0.5000
Sr2 0.1759 0.1759 0.0000
Sr3 0.5000 0.0000 0.5000
Sr4 0.8241 0.8241 0.0000
P1 0.3648 0.3648 0.0000
P2 0.6352 0.6352 0.0000
O1 0.0000 0.0000 0.0000

(5)
# Sr5P3O14
Computed powder diffraction line list, Cu Kα X-rays. Input: DFT lattice parameters and positions (PBE).
Intensities are scaled so that the largest is 100.

Principal peaks in the range 10 to 80 degrees two-theta, by intensity:
- 2θ = 30.14°, rel. 100
- 2θ = 30.38°, rel. 88
- 2θ = 31.27°, rel. 61
- 2θ = 44.16°, rel. 39
- 2θ = 46.61°, rel. 34
- 2θ = 27.50°, rel. 23
- 2θ = 48.62°, rel. 23
- 2θ = 47.85°, rel. 23
- 2θ = 49.24°, rel. 23
- 2θ = 26.50°, rel. 17

Structure:
a = 9.9091 Å, b = 9.9091 Å, c = 7.3123 Å
α = 90.00°, β = 90.00°, γ = 120.00°
Fractional coordinates of all 44 atoms:
Sr1 0.0086 0.2532 0.2500
Sr2 0.2446 0.9914 0.2500
Sr3 0.2532 0.2446 0.7500
Sr4 0.3333 0.6667 0.9998
Sr5 0.3333 0.6667 0.5002
Sr6 0.6667 0.3333 0.0002
Sr7 0.6667 0.3333 0.4998
Sr8 0.7468 0.7554 0.2500
Sr9 0.7554 0.0086 0.7500
Sr10 0.9914 0.7468 0.7500
P1 0.0302 0.3997 0.7500
P2 0.3695 0.9698 0.7500
P3 0.3997 0.3695 0.2500
P4 0.6003 0.6305 0.7500
P5 0.6305 0.0302 0.2500
P6 0.9698 0.6003 0.2500
O1 0.0000 0.0000 0.0921
O2 0.0000 0.0000 0.4079
O3 0.0000 0.0000 0.5921
O4 0.0000 0.0000 0.9079
O5 0.0834 0.3464 0.5778
O6 0.0834 0.3464 0.9222
O7 0.1174 0.5818 0.7500
O8 0.1497 0.6699 0.2500
O9 0.2630 0.9166 0.5778
O10 0.2630 0.9166 0.9222
O11 0.3301 0.4797 0.2500
O12 0.3464 0.2630 0.0778
O13 0.3464 0.2630 0.4222
O14 0.4182 0.5355 0.7500
O15 0.4645 0.8826 0.7500
O16 0.4797 0.1497 0.7500
O17 0.5203 0.8503 0.2500
O18 0.5355 0.1174 0.2500
O19 0.5818 0.4645 0.2500
O20 0.6536 0.7370 0.5778
O21 0.6536 0.7370 0.9222
O22 0.6699 0.5203 0.7500
O23 0.7370 0.0834 0.0778
O24 0.7370 0.0834 0.4222
O25 0.8503 0.3301 0.7500
O26 0.8826 0.4182 0.2500
O27 0.9166 0.6536 0.0778
O28 0.9166 0.6536 0.4222

(6)
# Sr2P2O7
Computed powder diffraction line list, Cu Kα X-rays. Input: DFT lattice parameters and positions (PBE).
Intensities are scaled so that the largest is 100.

Principal peaks in the range 10 to 80 degrees two-theta, by intensity:
- 2θ = 25.85°, rel. 100
- 2θ = 43.76°, rel. 75
- 2θ = 25.59°, rel. 74
- 2θ = 11.84°, rel. 41
- 2θ = 32.76°, rel. 39
- 2θ = 40.59°, rel. 37
- 2θ = 26.47°, rel. 35
- 2θ = 48.64°, rel. 33
- 2θ = 33.02°, rel. 27
- 2θ = 28.19°, rel. 27

Structure:
a = 9.0277 Å, b = 5.4669 Å, c = 13.3199 Å
α = 90.00°, β = 90.00°, γ = 90.00°
Fractional coordinates of all 44 atoms:
Sr1 0.1261 0.2500 0.0867
Sr2 0.1733 0.2500 0.7607
Sr3 0.3267 0.7500 0.2607
Sr4 0.3739 0.7500 0.5867
Sr5 0.6261 0.2500 0.4133
Sr6 0.6733 0.2500 0.7393
Sr7 0.8267 0.7500 0.2393
Sr8 0.8739 0.7500 0.9133
P1 0.0326 0.2500 0.3175
P2 0.2234 0.7500 0.9647
P3 0.2766 0.2500 0.4647
P4 0.4674 0.7500 0.8175
P5 0.5326 0.2500 0.1825
P6 0.7234 0.7500 0.5353
P7 0.7766 0.2500 0.0353
P8 0.9674 0.7500 0.6825
O1 0.0832 0.0179 0.2621
O2 0.0832 0.4821 0.2621
O3 0.1055 0.2500 0.4295
O4 0.1339 0.7500 0.6655
O5 0.1460 0.5190 0.9239
O6 0.1460 0.9810 0.9239
O7 0.2266 0.7500 0.0794
O8 0.2734 0.2500 0.5794
O9 0.3540 0.0190 0.4239
O10 0.3540 0.4810 0.4239
O11 0.3661 0.2500 0.1655
O12 0.3945 0.7500 0.9295
O13 0.4168 0.5179 0.7621
O14 0.4168 0.9821 0.7621
O15 0.5832 0.0179 0.2379
O16 0.5832 0.4821 0.2379
O17 0.6055 0.2500 0.0705
O18 0.6339 0.7500 0.8345
O19 0.6460 0.5190 0.5761
O20 0.6460 0.9810 0.5761
O21 0.7266 0.7500 0.4206
O22 0.7734 0.2500 0.9206
O23 0.8540 0.0190 0.0761
O24 0.8540 0.4810 0.0761
O25 0.8661 0.2500 0.3345
O26 0.8945 0.7500 0.5705
O27 0.9168 0.5179 0.7379
O28 0.9168 0.9821 0.7379